For GdB4Pt, a crystal structure in OQMD, relaxed with GGA-PBE gives the simulated XRD peak list in this record (CuKα).
No peak broadening, texture or thermal motion is included.

Top 12 peaks for 5 to 70 degrees two-theta, by angle:
d (Å), 2θ/deg, I/Imax
6.902, 12.8, 38
3.451, 25.8, 427
2.825, 31.7, 854
2.615, 34.3, 15
2.186, 41.3, 1000
1.784, 51.2, 8
1.725, 53.1, 84
1.631, 56.4, 216
1.587, 58.1, 5
1.475, 63.0, 231
1.473, 63.1, 250
1.413, 66.2, 107

Cell and atoms:
abc: 3.2621 3.2621 6.9019
angles: 90.00 90.00 120.00
Space group P6/mmm (No. 191)
One atom of each set of equivalent atoms:
Gd  0.0000  0.0000  0.0000 [1 per cell]
B  0.3333  0.6667  0.2746 [4 per cell]
Pt  0.0000  0.0000  0.5000 [1 per cell]

***

For GdB4Pt, a crystal structure in OQMD, relaxed with GGA-PBE gives the simulated XRD peak list in this record (CuKα).
No peak broadening, texture or thermal motion is included.

Top 12 peaks for 5 to 70 degrees two-theta, by angle:
d (Å), 2θ/deg, I/Imax
3.954, 22.5, 824
2.715, 33.0, 732
2.638, 34.0, 327
2.238, 40.3, 1000
2.194, 41.1, 485
1.977, 45.9, 187
1.598, 57.7, 307
1.582, 58.3, 237
1.537, 60.2, 166
1.470, 63.3, 107
1.433, 65.1, 197
1.357, 69.2, 87

Cell and atoms:
abc: 3.1665 5.2751 7.9077
angles: 90.00 90.00 90.00
Space group Immm (No. 71)
One atom of each set of equivalent atoms:
Gd  0.0000  0.0000  0.0000 [2 per cell]
B  0.0000  0.3223  0.2606 [8 per cell]
Pt  0.0000  0.0000  0.5000 [2 per cell]

***

For Gd2ReB6, a crystal structure in OQMD, relaxed with GGA-PBE gives the simulated XRD peak list in this record (CuKα).
No peak broadening, texture or thermal motion is included.

Top 12 peaks for 5 to 70 degrees two-theta, by angle:
d (Å), 2θ/deg, I/Imax
3.712, 24.0, 1000
2.968, 30.1, 616
2.903, 30.8, 196
2.769, 32.3, 304
2.717, 33.0, 234
2.318, 38.8, 752
2.286, 39.4, 244
2.219, 40.7, 383
2.192, 41.2, 304
2.020, 44.9, 205
1.856, 49.1, 255
1.574, 58.7, 193

Cell and atoms:
abc: 9.2226 11.6103 3.7117
angles: 90.00 90.00 90.00
Space group Pbam (No. 55)
One atom of each set of equivalent atoms:
Gd  0.0573  0.1303  0.0000 [4 per cell]
Gd  0.1763  0.4140  0.0000 [4 per cell]
Re  0.1382  0.6791  0.0000 [4 per cell]
B  0.0166  0.2883  0.5000 [4 per cell]
B  0.0534  0.5674  0.5000 [4 per cell]
B  0.1009  0.9718  0.5000 [4 per cell]
B  0.1311  0.8137  0.5000 [4 per cell]
B  0.2090  0.2345  0.5000 [4 per cell]
B  0.2480  0.5820  0.5000 [4 per cell]

***

For Gd4Tm4B3, a crystal structure in OQMD, relaxed with GGA-PBE gives the simulated XRD peak list in this record (CuKα).
No peak broadening, texture or thermal motion is included.

Top 12 peaks for 5 to 70 degrees two-theta, by angle:
d (Å), 2θ/deg, I/Imax
3.136, 28.5, 180
3.059, 29.2, 874
2.976, 30.0, 1000
2.963, 30.2, 459
2.846, 31.4, 828
2.765, 32.4, 695
2.472, 36.3, 377
2.331, 38.6, 243
2.256, 40.0, 432
1.881, 48.4, 274
1.663, 55.2, 250
1.614, 57.1, 169

Cell and atoms:
abc: 3.7837 4.5415 15.6312
angles: 93.88 93.05 95.12
Space group P1 (No. 1)
One atom of each set of equivalent atoms:
Gd  0.0000  0.0000  0.0000 [1 per cell]
Gd  0.0394  0.5455  0.8554 [1 per cell]
Gd  0.4668  0.9825  0.5036 [1 per cell]
Gd  0.5727  0.5625  0.3516 [1 per cell]
Tm  0.0478  0.0462  0.2245 [1 per cell]
Tm  0.5016  0.0522  0.7608 [1 per cell]
Tm  0.5381  0.4931  0.0943 [1 per cell]
Tm  0.9918  0.4990  0.6306 [1 per cell]
B  0.0550  0.4070  0.4654 [1 per cell]
B  0.5192  0.2710  0.9273 [1 per cell]
B  0.9846  0.1381  0.3898 [1 per cell]

***

For Lu4GeB3, a crystal structure in OQMD, relaxed with GGA-PBE gives the simulated XRD peak list in this record (CuKα).
No peak broadening, texture or thermal motion is included.

Top 12 peaks for 5 to 70 degrees two-theta, by angle:
d (Å), 2θ/deg, I/Imax
3.617, 24.6, 360
2.941, 30.4, 447
2.894, 30.9, 218
2.868, 31.2, 202
2.774, 32.3, 188
2.666, 33.6, 626
2.550, 35.2, 1000
1.979, 45.9, 181
1.880, 48.4, 238
1.734, 52.8, 411
1.564, 59.1, 206
1.488, 62.4, 180

Cell and atoms:
abc: 3.4683 3.4683 28.9386
angles: 90.00 90.00 120.00
Space group P6_3/mmc (No. 194)
One atom of each set of equivalent atoms:
Lu  0.0000  0.0000  0.1701 [4 per cell]
Lu  0.3333  0.6667  0.0576 [4 per cell]
Ge  0.3333  0.6667  0.2500 [2 per cell]
B  0.0000  0.0000  0.0000 [2 per cell]
B  0.3333  0.6667  0.6171 [4 per cell]

***

For GeB2Mo2, a crystal structure in OQMD, relaxed with GGA-PBE gives the simulated XRD peak list in this record (CuKα).
No peak broadening, texture or thermal motion is included.

Top 12 peaks for 5 to 70 degrees two-theta, by angle:
d (Å), 2θ/deg, I/Imax
3.169, 28.2, 188
2.907, 30.8, 130
2.783, 32.2, 240
2.416, 37.2, 937
2.173, 41.6, 1000
2.142, 42.2, 813
1.938, 46.9, 139
1.921, 47.3, 182
1.858, 49.0, 158
1.585, 58.2, 175
1.545, 59.9, 161
1.453, 64.1, 72

Cell and atoms:
abc: 3.0898 11.6268 3.1692
angles: 90.00 90.00 90.00
Space group Cmmm (No. 65)
One atom of each set of equivalent atoms:
Ge  0.0000  0.0000  0.0000 [2 per cell]
B  0.0000  0.2121  0.0000 [4 per cell]
Mo  0.0000  0.3595  0.5000 [4 per cell]